1.
# Rb2PaMnN4
Computed powder XRD pattern, Cu Kα (λ = 1.5418 Å). Input: a PBE-relaxed structure.

Main lines, low angle first (2θ = 10–80°):
- 11.10 deg, I = 32
- 19.97 deg, I = 27
- 22.91 deg, I = 34
- 26.88 deg, I = 100
- 29.13 deg, I = 53
- 29.87 deg, I = 45
- 32.83 deg, I = 55
- 42.21 deg, I = 31
- 43.62 deg, I = 18
- 46.32 deg, I = 22
- 55.36 deg, I = 18
- 62.56 deg, I = 19

Cell and atoms:
a = 6.6428 Å, b = 7.9695 Å, c = 5.9823 Å
α = 90.00°, β = 90.00°, γ = 90.00°
Sites, in units of the cell vectors:
Rb (0.2472, 0.1453, 0.0000)
Rb (0.2528, 0.8547, 0.5000)
Rb (0.7472, 0.8547, 0.5000)
Rb (0.7528, 0.1453, 0.0000)
Pa (0.0000, 0.3968, 0.4780)
Pa (0.5000, 0.6032, 0.9780)
Mn (0.0000, 0.6611, 0.9727)
Mn (0.5000, 0.3389, 0.4727)
N (0.0000, 0.4720, 0.1244)
N (0.0000, 0.6087, 0.6826)
N (0.2372, 0.7698, 0.0148)
N (0.2628, 0.2302, 0.5148)
N (0.5000, 0.3913, 0.1826)
N (0.5000, 0.5280, 0.6244)
N (0.7372, 0.2302, 0.5148)
N (0.7628, 0.7698, 0.0148)

---

2.
# SrPa4Mn3N12
Computed powder XRD pattern, Cu Kα (λ = 1.5418 Å). Input: a PBE-relaxed structure.

Main lines, low angle first (2θ = 10–80°):
- 21.73 deg, I = 39
- 30.93 deg, I = 100
- 34.69 deg, I = 1
- 38.12 deg, I = 11
- 41.31 deg, I = 1
- 44.30 deg, I = 20
- 49.87 deg, I = 21
- 55.01 deg, I = 46
- 64.45 deg, I = 13
- 68.89 deg, I = 8
- 73.19 deg, I = 18
- 77.40 deg, I = 6

Cell and atoms:
a = 7.0827 Å, b = 7.0827 Å, c = 7.0827 Å
α = 109.47°, β = 109.47°, γ = 109.47°
Sites, in units of the cell vectors:
Sr (0.0000, 0.0000, 0.0000)
Pa (0.0000, 0.0000, 0.5000)
Pa (0.0000, 0.5000, 0.0000)
Pa (0.5000, 0.0000, 0.0000)
Pa (0.5000, 0.5000, 0.5000)
Mn (0.0000, 0.5000, 0.5000)
Mn (0.5000, 0.0000, 0.5000)
Mn (0.5000, 0.5000, 0.0000)
N (0.1586, 0.3230, 0.4816)
N (0.1586, 0.6770, 0.8357)
N (0.1643, 0.8414, 0.3230)
N (0.3230, 0.1643, 0.8414)
N (0.3230, 0.4816, 0.1586)
N (0.4816, 0.1586, 0.3230)
N (0.5184, 0.8414, 0.6770)
N (0.6770, 0.5184, 0.8414)
N (0.6770, 0.8357, 0.1586)
N (0.8357, 0.1586, 0.6770)
N (0.8414, 0.3230, 0.1643)
N (0.8414, 0.6770, 0.5184)